# InNi2IrO6
Computed X-ray powder pattern, Cu Kα (λ = 1.5418 Å). Input: a cell relaxed with PBE+U.
Peak positions follow from Bragg's law for the DFT cell and can differ from measured ones.

Atomic structure:
```
InNi2IrO6
1.0
5.9132 0.0000 0.0000
0.0000 5.9132 0.0000
0.0000 0.0000 3.8981
In Ni Ir O
1 2 1 6
direct
0.0000 0.0000 0.0000
0.0000 0.5000 0.1672
0.5000 0.0000 0.1672
0.5000 0.5000 0.0573
0.0000 0.0000 0.5069
0.2622 0.2622 0.0898
0.2622 0.7378 0.0898
0.5000 0.5000 0.5696
0.7378 0.2622 0.0898
0.7378 0.7378 0.0898
```

Peak list (10 most intense, 2θ = 10–90°, by intensity)
22.81 deg, I = 100
30.23 deg, I = 83
21.25 deg, I = 54
43.28 deg, I = 53
38.21 deg, I = 51
49.47 deg, I = 47
31.37 deg, I = 38
51.75 deg, I = 27
69.69 deg, I = 22
67.80 deg, I = 18